Simulated powder X-ray diffraction pattern
Compound: CrSbP2O8
Radiation: Cu Ka
Structure: a GGA+U-relaxed structure
Lines closer than 0.1° are merged.

Structure:
a = 4.939 Å, b = 5.914 Å, c = 10.991 Å
α = 90.00°, β = 97.98°, γ = 90.00°
Space group P2_1/m (No. 11)
Asymmetric unit:
Cr 0.051 0.250 0.300
Sb 0.482 0.250 0.768
P 0.109 0.750 0.426
P 0.420 0.750 0.876
O 0.175 0.750 0.566
O 0.205 0.250 0.611
O 0.236 0.549 0.809
O 0.241 0.541 0.368
O 0.298 0.250 0.167
O 0.422 0.750 0.012

Main lines, low angle first (2θ from 10° to 90°):
| 2theta | d [Å] | I_rel | h k l |
| --- | --- | --- | --- |
| 16.3 | 5.442 | 100 | 0 0 2 |
| 18.8 | 4.713 | 41 | 1 0 -1 |
| 20.9 | 4.247 | 23 | 1 0 1 |
| 24.1 | 3.686 | 58 | 1 1 -1 |
| 25.8 | 3.450 | 61 | 1 1 1 |
| 26.1 | 3.410 | 29 | 1 0 2 |
| 30.2 | 2.957 | 71 | 0 2 0 |
| 32.4 | 2.766 | 64 | 1 1 -3 |
| 36.2 | 2.485 | 34 | 1 1 3 |
| 38.1 | 2.359 | 26 | 1 2 -2 |